Starting from a crystal structure in Alexandria, relaxed with PBE+U, the X-ray powder pattern of MnCuSe2O8 was computed for Cu Kα, 1.54184 Å.
Lines closer than 0.1° are merged.

Top 12 peaks for 2θ from 15° to 90°, low angle first:
18.8 deg, I 9, hkl 1 0 0
23.5 deg, I 100, hkl 1 0 1
32.8 deg, I 69, hkl 1 1 0
34.3 deg, I 42, hkl 0 1 2
47.5 deg, I 10, hkl 1 0 3
48.2 deg, I 31, hkl 2 0 2
53.3 deg, I 21, hkl 2 1 1
55.3 deg, I 8, hkl 1 1 3
58.6 deg, I 12, hkl 3 0 0
59.5 deg, I 19, hkl 1 2 2
62.3 deg, I 9, hkl 1 0 4
68.8 deg, I 14, hkl 2 2 0

Structural model:
```
data_MnCuSe2O8
_space_group_name_H-M_alt 'P -3 m 1'
_space_group_IT_number 164
_space_group_name_Hall '-P 3 2"'
_cell_length_a 5.4610
_cell_length_b 5.4610
_cell_length_c 6.2823
_cell_angle_alpha 90.00
_cell_angle_beta 90.00
_cell_angle_gamma 120.00
loop_
_atom_site_label
_atom_site_fract_x
_atom_site_fract_y
_atom_site_fract_z
Mn1 0.0000 0.0000 0.0000
Cu1 0.0000 0.0000 0.5000
Se1 0.3333 0.6667 0.1974
O1 0.1618 0.3236 0.2761
O2 0.3333 0.6667 0.9362
```